No. 1
This entry pairs a crystal structure of Cu2PPt with its simulated powder X-ray diffraction pattern. Radiation: Cu Kα, 1.54184 Å. Structure: a crystal structure in Alexandria, relaxed with GGA-PBE.

Structure:
Cell lengths 3.2365, 3.2365, 5.1753 Å; angles 90.00, 90.00, 90.00 degrees
Space group P4mm (No. 99)
Symmetry-distinct sites (fractional):
Cu1 0.0000 0.0000 0.0000 [1 per cell]
Cu2 0.5000 0.5000 0.2071 [1 per cell]
P1 0.0000 0.0000 0.4952 [1 per cell]
Pt1 0.5000 0.5000 0.7054 [1 per cell]

The 10 most intense peaks (2θ from 15° to 90°), by angle:
2theta, Rel. int., h k l
17.1, 31, 0 0 1
27.6, 39, 1 0 0
32.6, 38, 1 0 1
34.7, 14, 0 0 2
39.4, 77, 1 1 0
43.2, 13, 1 1 1
44.8, 100, 1 0 2
53.4, 17, 1 1 2
56.9, 26, 2 0 0
75.2, 42, 2 1 2

No. 2
This entry pairs a crystal structure of PuCu6P4 with its simulated powder X-ray diffraction pattern. Radiation: Cu Kα, 1.54184 Å. Structure: a crystal structure in Alexandria, relaxed with GGA-PBE.

Structure:
Cell lengths 6.3308, 6.3308, 8.3691 Å; angles 90.00, 90.00, 90.00 degrees
Space group I-42m (No. 121)
Symmetry-distinct sites (fractional):
Pu1 0.0000 0.0000 0.0000 [2 per cell]
Cu1 0.0000 0.5000 0.0000 [4 per cell]
Cu2 0.1421 0.1421 0.3658 [8 per cell]
P1 0.2241 0.2241 0.6356 [8 per cell]

The 10 most intense peaks (2θ from 15° to 90°), by angle:
2theta, Rel. int., h k l
17.6, 26, 1 0 1
19.8, 42, 1 1 0
21.2, 45, 0 0 2
33.4, 100, 2 1 1
35.2, 75, 1 0 3
35.6, 73, 2 0 2
40.3, 41, 2 2 0
44.3, 48, 3 0 1
46.0, 43, 2 2 2
52.4, 44, 2 0 4

No. 3
This entry pairs a crystal structure of RbCu2P2S6 with its simulated powder X-ray diffraction pattern. Radiation: Cu Kα, 1.54184 Å. Structure: a crystal structure in Alexandria, relaxed with GGA-PBE.

Structure:
Cell lengths 6.3472, 6.8565, 8.0133 Å; angles 74.31, 67.43, 64.16 degrees
Space group P-1 (No. 2)
Symmetry-distinct sites (fractional):
Rb1 0.0000 0.0000 0.0000 [1 per cell]
Cu1 0.2889 0.2162 0.4133 [2 per cell]
P1 0.3599 0.6456 0.4453 [2 per cell]
S1 0.0509 0.7449 0.6558 [2 per cell]
S2 0.3327 0.5421 0.2443 [2 per cell]
S3 0.4519 0.1412 0.6516 [2 per cell]

The 10 most intense peaks (2θ from 15° to 90°), by angle:
2theta, Rel. int., h k l
16.8, 50, 1 1 1
23.2, 100, 1 0 -1
24.8, 87, 1 1 -1
26.7, 50, 0 1 2
30.2, 38, 0 2 1
31.4, 41, 2 0 1
33.1, 45, 0 2 -1
37.7, 49, 2 1 3
41.4, 38, 0 1 -3
54.1, 33, 0 3 -2

No. 4
This entry pairs a crystal structure of RbCu2PSe4 with its simulated powder X-ray diffraction pattern. Radiation: Cu Kα, 1.54184 Å. Structure: a crystal structure in Alexandria, relaxed with GGA-PBE.

Structure:
Cell lengths 6.3201, 8.1789, 8.8823 Å; angles 90.00, 90.00, 90.00 degrees
Space group I222 (No. 23)
Symmetry-distinct sites (fractional):
Rb1 0.0000 0.0000 0.0000 [2 per cell]
Cu1 0.0000 0.5000 0.1474 [4 per cell]
P1 0.0000 0.0000 0.5000 [2 per cell]
Se1 0.2025 0.1622 0.3526 [8 per cell]

The 10 most intense peaks (2θ from 15° to 90°), by angle:
2theta, Rel. int., h k l
26.8, 100, 1 1 2
27.9, 81, 1 2 1
32.2, 44, 0 1 3
35.9, 43, 2 2 0
41.4, 22, 1 3 2
44.6, 17, 1 1 4
47.9, 16, 1 4 1
53.4, 22, 2 4 0
54.2, 31, 2 3 3
55.3, 18, 1 3 4

No. 5
This entry pairs a crystal structure of Rb2ZnCuP2 with its simulated powder X-ray diffraction pattern. Radiation: Cu Kα, 1.54184 Å. Structure: a crystal structure in Alexandria, relaxed with GGA-PBE.

Structure:
Cell lengths 5.7369, 21.5068, 5.7696 Å; angles 90.00, 90.00, 90.00 degrees
Space group Ibam (No. 72)
Symmetry-distinct sites (fractional):
Rb1 0.2471 0.1422 0.0000 [8 per cell]
Zn1 0.0000 0.0000 0.2500 [4 per cell]
Cu1 0.0000 0.5000 0.2500 [4 per cell]
P1 0.2383 0.4371 0.0000 [8 per cell]

The 10 most intense peaks (2θ from 15° to 90°), by angle:
2theta, Rel. int., h k l
23.4, 91, 1 2 1
24.8, 51, 0 6 0
27.5, 74, 1 4 1
33.3, 100, 0 8 0
35.3, 91, 0 4 2
35.5, 90, 2 4 0
40.2, 29, 1 8 1
44.5, 72, 2 0 2
53.1, 45, 0 10 2
53.2, 44, 2 10 0

No. 6
This entry pairs a crystal structure of SrCuPRu with its simulated powder X-ray diffraction pattern. Radiation: Cu Kα, 1.54184 Å. Structure: a crystal structure in Alexandria, relaxed with GGA-PBE.

Structure:
Cell lengths 3.9751, 3.9751, 10.6706 Å; angles 90.00, 90.00, 90.00 degrees
Space group P4/nmm (No. 129, origin choice 2)
Symmetry-distinct sites (fractional):
Sr1 0.2500 0.2500 0.2379 [2 per cell]
Cu1 0.2500 0.7500 0.0000 [2 per cell]
P1 0.2500 0.2500 0.6134 [2 per cell]
Ru1 0.2500 0.7500 0.5000 [2 per cell]

The 10 most intense peaks (2θ from 15° to 90°), by angle:
2theta, Rel. int., h k l
16.6, 22, 0 0 2
23.9, 20, 1 0 1
33.6, 24, 0 0 4
33.8, 23, 1 0 3
36.1, 100, 1 1 2
45.6, 33, 2 0 0
57.9, 20, 2 0 4
61.7, 21, 1 1 6
66.5, 10, 2 2 0
78.1, 20, 3 1 2

No. 7
This entry pairs a crystal structure of Cu7PS6 with its simulated powder X-ray diffraction pattern. Radiation: Cu Kα, 1.54184 Å. Structure: a crystal structure in Alexandria, relaxed with GGA-PBE.

Structure:
Cell lengths 9.6728, 9.6728, 9.6728 Å; angles 90.00, 90.00, 90.00 degrees
Space group P2_13 (No. 198)
Symmetry-distinct sites (fractional):
Cu1 0.0015 0.0169 0.7761 [12 per cell]
Cu2 0.0740 0.4055 0.2638 [12 per cell]
Cu3 0.1420 0.1420 0.1420 [4 per cell]
P1 0.2448 0.2552 0.7448 [4 per cell]
S1 0.0112 0.0112 0.0112 [4 per cell]
S2 0.1126 0.3704 0.8675 [12 per cell]
S3 0.1308 0.8692 0.3692 [4 per cell]
S4 0.2296 0.7296 0.7704 [4 per cell]

The 10 most intense peaks (2θ from 15° to 90°), by angle:
2theta, Rel. int., h k l
15.9, 17, 1 1 1
27.7, 29, 2 2 1
32.1, 100, 2 2 2
33.4, 30, 3 0 2
34.7, 39, 3 1 2
39.5, 40, 4 1 1
42.8, 24, 4 1 2
48.0, 17, 5 0 1
48.9, 30, 3 3 3
53.6, 38, 4 4 0

No. 8
This entry pairs a crystal structure of CuP2S6 with its simulated powder X-ray diffraction pattern. Radiation: Cu Kα, 1.54184 Å. Structure: a crystal structure in Alexandria, relaxed with GGA-PBE.

Structure:
Cell lengths 5.7750, 5.9827, 7.8434 Å; angles 70.58, 73.28, 64.67 degrees
Space group P1 (No. 1)
Symmetry-distinct sites (fractional):
Cu1 0.0000 0.0000 0.0000 [1 per cell]
P1 0.5497 0.6960 0.1937 [1 per cell]
P2 0.6738 0.7202 0.8910 [1 per cell]
S1 0.2121 0.0164 0.1966 [1 per cell]
S2 0.3643 0.7805 0.7888 [1 per cell]
S3 0.5180 0.3702 0.3398 [1 per cell]
S4 0.7611 0.0444 0.8000 [1 per cell]
S5 0.8392 0.7486 0.2590 [1 per cell]
S6 0.9975 0.4204 0.8330 [1 per cell]

The 10 most intense peaks (2θ from 15° to 90°), by angle:
2theta, Rel. int., h k l
16.9, 85, 0 1 0
18.3, 66, 0 1 1
19.2, 32, 1 1 0
19.4, 35, 1 0 1
22.8, 35, 1 0 -1
24.4, 58, 0 0 2
30.5, 100, -1 1 1
32.1, 46, 1 2 0
34.3, 81, 2 1 2
38.4, 63, 1 2 -1

No. 9
This entry pairs a crystal structure of Cu3PSe2S2 with its simulated powder X-ray diffraction pattern. Radiation: Cu Kα, 1.54184 Å. Structure: a crystal structure in Alexandria, relaxed with GGA-PBE.

Structure:
Cell lengths 7.4304, 6.5775, 6.2931 Å; angles 90.00, 90.00, 90.00 degrees
Space group Pmn2_1 (No. 31)
Symmetry-distinct sites (fractional):
Cu1 0.0000 0.1727 0.0000 [2 per cell]
Cu2 0.2470 0.3398 0.4601 [4 per cell]
P1 0.0000 0.8179 0.4905 [2 per cell]
Se1 0.0000 0.1431 0.6120 [2 per cell]
Se2 0.0000 0.8247 0.1283 [2 per cell]
S1 0.2348 0.6610 0.5995 [4 per cell]

The 10 most intense peaks (2θ from 15° to 90°), by angle:
2theta, Rel. int., h k l
27.1, 41, 0 2 0
27.6, 100, 2 1 0
28.4, 70, 0 0 2
30.7, 38, 0 2 1
31.1, 70, 2 1 1
48.2, 74, 2 3 0
49.0, 35, 4 0 0
51.7, 40, 0 2 3
52.0, 74, 2 1 3
56.9, 43, 2 3 2

No. 10
This entry pairs a crystal structure of SrCuPS4 with its simulated powder X-ray diffraction pattern. Radiation: Cu Kα, 1.54184 Å. Structure: a crystal structure in Alexandria, relaxed with GGA-PBE.

Structure:
Cell lengths 6.5774, 6.5774, 8.1623 Å; angles 90.00, 90.00, 90.00 degrees
Space group I-4 (No. 82)
Symmetry-distinct sites (fractional):
Sr1 0.0000 0.0000 0.0000 [2 per cell]
Cu1 0.0000 0.0000 0.5000 [2 per cell]
P1 0.0000 0.5000 0.2500 [2 per cell]
S1 0.1535 0.7352 0.3666 [8 per cell]

The 10 most intense peaks (2θ from 15° to 90°), by angle:
2theta, Rel. int., h k l
17.3, 36, 1 0 1
19.1, 40, 1 1 0
21.8, 13, 0 0 2
29.1, 100, 1 1 2
32.4, 18, 1 2 1
35.0, 26, 2 0 2
38.7, 26, 2 2 0
43.5, 17, 3 1 0
49.2, 33, 1 3 2
52.8, 27, 2 0 4

No. 11
This entry pairs a crystal structure of SrCuP2S8 with its simulated powder X-ray diffraction pattern. Radiation: Cu Kα, 1.54184 Å. Structure: a crystal structure in Alexandria, relaxed with GGA-PBE.

Structure:
Cell lengths 5.8389, 5.8389, 8.5618 Å; angles 90.00, 90.00, 120.00 degrees
Space group P-3 (No. 147)
Symmetry-distinct sites (fractional):
Sr1 0.0000 0.0000 0.0000 [1 per cell]
Cu1 0.0000 0.0000 0.5000 [1 per cell]
P1 0.3333 0.6667 0.7421 [2 per cell]
S1 0.0031 0.6812 0.3219 [6 per cell]
S2 0.3333 0.6667 0.9795 [2 per cell]

The 10 most intense peaks (2θ from 15° to 90°), by angle:
2theta, Rel. int., h k l
17.5, 49, 1 0 0
20.4, 31, 0 1 1
27.3, 79, 1 0 2
30.6, 45, 1 1 0
31.3, 33, 0 0 3
32.4, 88, 1 1 1
37.3, 100, 2 -1 2
41.5, 31, 0 2 2
53.1, 58, 1 1 4
54.4, 52, 3 0 0

No. 12
This entry pairs a crystal structure of SrCuP2S6 with its simulated powder X-ray diffraction pattern. Radiation: Cu Kα, 1.54184 Å. Structure: a crystal structure in Alexandria, relaxed with GGA-PBE.

Structure:
Cell lengths 13.4094, 10.6154, 7.8537 Å; angles 90.00, 121.35, 90.00 degrees
Space group C2/c (No. 15)
Symmetry-distinct sites (fractional):
Sr1 0.0000 0.1758 0.2500 [4 per cell]
Cu1 0.0000 0.2124 0.7500 [4 per cell]
P1 0.2112 0.4367 0.1496 [8 per cell]
S1 0.1088 0.0687 0.6746 [8 per cell]
S2 0.1399 0.2599 0.0672 [8 per cell]
S3 0.1593 0.4407 0.4220 [8 per cell]

The 10 most intense peaks (2θ from 15° to 90°), by angle:
2theta, Rel. int., h k l
22.8, 100, 2 2 0
24.8, 62, 3 1 0
26.4, 51, 1 3 0
28.6, 49, 4 0 -2
33.3, 53, 4 2 -2
34.6, 44, 1 3 -2
35.4, 72, 3 3 -2
37.5, 36, 2 0 2
44.0, 34, 6 2 -2
55.1, 38, 5 3 1